This entry pairs a crystal structure of Ce2Ni12P5 with its calculated X-ray powder pattern. Radiation: Cu Ka. Structure: DFT lattice parameters and positions (PBE).
Intensities are scaled so that the largest is 100.

Structural model:
a = 10.808 Å, b = 3.662 Å, c = 13.116 Å
α = 90.00°, β = 107.92°, γ = 90.00°
Space group P2_1/m (No. 11)
Inequivalent atoms, fractional coordinates:
Ce 0.221 0.250 0.183
Ce 0.253 0.250 0.688
Ni 0.066 0.750 0.297
Ni 0.081 0.750 0.992
Ni 0.082 0.750 0.491
Ni 0.095 0.750 0.804
Ni 0.202 0.250 0.418
Ni 0.212 0.250 0.939
Ni 0.338 0.750 0.361
Ni 0.339 0.750 0.063
Ni 0.429 0.250 0.516
Ni 0.435 0.250 0.947
Ni 0.490 0.750 0.652
Ni 0.495 0.750 0.841
P 0.004 0.250 0.877
P 0.010 0.750 0.629
P 0.300 0.750 0.518
P 0.310 0.750 0.887
P 0.451 0.750 0.241

Largest 6 diffraction maxima, in order of falling intensity, 15° ≤ 2θ ≤ 90°:
d/Å, I_rel, index
2.377, 100.0, 0 1 4
2.105, 45.4, 4 1 0
1.831, 42.1, 0 2 0
2.502, 38.8, 3 1 0
2.569, 18.6, 4 0 0
2.759, 14.9, 1 0 4